The following is a theoretical powder XRD pattern of CsScTe. It was derived from a cell relaxed with GGA-PBE, using Cu Kα (λ = 1.5418 Å).

Crystal structure
Cell lengths 11.7541, 13.8565, 8.0024 Å; angles 90.00, 90.00, 90.00 degrees
Space group Ima2 (No. 46)
Symmetry-distinct sites (fractional):
Cs 0.2500 0.0005 0.0000 x4
Cs 0.2500 0.2284 0.6840 x4
Cs 0.2500 0.7276 0.1847 x4
Sc 0.0000 0.0000 0.6745 x4
Sc 0.0054 0.6093 0.8469 x8
Te 0.9996 0.1667 0.9563 x8
Te 0.2500 0.5010 0.9561 x4

Principal peaks in the range 5 to 70 degrees two-theta, sorted by position:
2θ (°)	d_spacing	I (rel.)
22.22	4.001	12
25.71	3.465	18
26.96	3.307	33
29.94	2.985	100
30.42	2.939	32
34.24	2.619	13
37.60	2.392	11
45.34	2.000	14
53.75	1.705	19
55.58	1.654	16